Record 1
Diffraction record for MgPtCl. The XRD peak list is calculated, not measured: it uses a crystal structure in Alexandria, relaxed with GGA-PBE and Cu Kα (weighted mean of Kα1 and Kα2).
Intensities are scaled so that the largest is 100.

Peak list (10 most intense, 2θ = 10–90°, in order of falling intensity)
| Position (°2θ) | d [Å] | I_rel | h k l |
| --- | --- | --- | --- |
| 43.0 | 2.103 | 100.0 | 1 1 3 |
| 17.0 | 5.207 | 99.8 | 0 0 2 |
| 38.2 | 2.357 | 91.2 | 1 1 2 |
| 35.0 | 2.562 | 79.6 | 1 1 1 |
| 25.7 | 3.472 | 69.1 | 0 0 3 |
| 33.9 | 2.643 | 65.6 | 1 1 0 |
| 49.6 | 1.839 | 37.1 | 2 0 1 |
| 48.7 | 1.869 | 36.9 | 2 0 0 |
| 55.9 | 1.646 | 31.8 | 2 0 3 |
| 49.1 | 1.855 | 28.7 | 1 1 4 |

Atomic structure:
a = 3.7377 Å, b = 3.7377 Å, c = 10.4146 Å
α = 90.00°, β = 90.00°, γ = 90.00°
Space group P-4m2 (No. 115)
Unique sites:
Mg 0.0000 0.0000 0.1997 (multiplicity 2)
Pt 0.0000 0.5000 0.9913 (multiplicity 2)
Cl 0.0000 0.5000 0.3417 (multiplicity 2)

Record 2
Diffraction record for Rb2Mg2Cl5. The XRD peak list is calculated, not measured: it uses a crystal structure in Alexandria, relaxed with GGA-PBE and Cu Kα (weighted mean of Kα1 and Kα2).
Intensities are scaled so that the largest is 100.

Peak list (10 most intense, 2θ = 10–90°, in order of falling intensity)
| Position (°2θ) | d [Å] | I_rel | h k l |
| --- | --- | --- | --- |
| 28.1 | 3.174 | 100.0 | 1 1 -2 |
| 31.1 | 2.875 | 79.6 | 3 1 1 |
| 33.5 | 2.677 | 71.6 | 0 2 0 |
| 22.7 | 3.921 | 69.4 | 1 1 1 |
| 26.0 | 3.430 | 56.8 | 4 0 0 |
| 24.6 | 3.621 | 49.4 | 4 0 -1 |
| 42.9 | 2.110 | 46.7 | 2 0 3 |
| 23.0 | 3.867 | 41.1 | 2 0 -2 |
| 38.5 | 2.337 | 33.2 | 6 0 -2 |
| 36.8 | 2.442 | 24.8 | 5 1 0 |

Atomic structure:
a = 14.6015 Å, b = 5.3540 Å, c = 7.9061 Å
α = 90.00°, β = 110.03°, γ = 90.00°
Space group C2/m (No. 12)
Unique sites:
Rb 0.1045 0.0000 0.3154 (multiplicity 4)
Mg 0.1539 0.5000 0.8918 (multiplicity 4)
Cl 0.0000 0.5000 0.0000 (multiplicity 2)
Cl 0.1512 0.5000 0.5859 (multiplicity 4)
Cl 0.1608 0.0000 0.9311 (multiplicity 4)

> What is the formula in the second record?

Rb2Mg2Cl5

> What is the formula in the first record?

MgPtCl